No. 1
Ti3ZnRh3: calculated XRD peak list (Cu Kα), based on DFT lattice parameters and positions (PBE).
Kinematic intensities with the Lorentz-polarization factor, no thermal factor.

The 6 most intense peaks (10° ≤ 2θ ≤ 80°), in order of falling intensity:
| two_theta | I (rel.) | index |
| --- | --- | --- |
| 42.2 | 100 | 0 2 2 |
| 42.9 | 95 | 2 2 0 |
| 41.2 | 53 | 2 0 -2 |
| 41.7 | 50 | 2 0 2 |
| 14.1 | 22 | 0 0 1 |
| 14.6 | 21 | 1 0 0 |

Cell and atoms:
Lattice parameters (Å, degrees): 6.0635 5.8678 6.2622 90.00 90.74 90.00
Space group P2/m (No. 10)
Symmetry-distinct sites (fractional):
Ti 0.2288 0.0000 0.2738 x2
Ti 0.2440 0.0000 0.7428 x2
Ti 0.2566 0.5000 0.2449 x2
Zn 0.2260 0.5000 0.7269 x2
Rh 0.0000 0.2474 0.0000 x2
Rh 0.5000 0.2430 0.0000 x2
Rh 0.5000 0.2484 0.5000 x2

No. 2
CsSbAsSe2: calculated XRD peak list (Cu Kα), based on DFT lattice parameters and positions (PBE).
Kinematic intensities with the Lorentz-polarization factor, no thermal factor.

The 6 most intense peaks (10° ≤ 2θ ≤ 80°), in order of falling intensity:
| two_theta | I (rel.) | index |
| --- | --- | --- |
| 32.1 | 100 | 2 0 0 |
| 28.0 | 74 | 1 1 1 |
| 46.6 | 69 | 2 0 2 |
| 22.8 | 60 | 1 0 1 |
| 32.9 | 47 | 0 0 2 |
| 57.8 | 36 | 2 2 2 |

Cell and atoms:
Lattice parameters (Å, degrees): 5.5722 5.5722 5.4442 90.00 90.00 90.00
Space group P4/mmm (No. 123)
Symmetry-distinct sites (fractional):
Cs 0.0000 0.0000 0.0000 x1
Sb 0.5000 0.5000 0.5000 x1
As 0.5000 0.5000 0.0000 x1
Se 0.0000 0.5000 0.5000 x2

No. 3
LiScIn2Pt: calculated XRD peak list (Cu Kα), based on DFT lattice parameters and positions (PBE).
Kinematic intensities with the Lorentz-polarization factor, no thermal factor.

The 6 most intense peaks (10° ≤ 2θ ≤ 80°), in order of falling intensity:
| two_theta | I (rel.) | index |
| --- | --- | --- |
| 17.5 | 100 | 0 0 1 |
| 17.1 | 82 | 1 0 0 |
| 34.5 | 61 | 2 0 0 |
| 39.0 | 55 | 2 0 1 |
| 50.3 | 41 | 2 0 2 |
| 24.6 | 29 | 1 0 1 |

Cell and atoms:
Lattice parameters (Å, degrees): 5.1944 5.1944 5.0605 90.00 90.00 90.00
Space group P4/mmm (No. 123)
Symmetry-distinct sites (fractional):
Li 0.0000 0.0000 0.0000 x1
Sc 0.5000 0.5000 0.0000 x1
In 0.0000 0.5000 0.5000 x2
Pt 0.5000 0.5000 0.5000 x1